Record 1
For Tl2RuRhO6, a crystal structure in Alexandria, relaxed with GGA-PBE gives the computed powder XRD pattern in this record (copper Kα).
Kinematic intensities with the Lorentz-polarization factor, no thermal factor.

Crystal structure
Cell: 5.496 5.496 4.424 Å, 90.00 90.00 90.00°
Space group P4mm (No. 99)
Asymmetric unit:
Tl1 0.000 0.500 0.000
Ru1 0.000 0.000 0.506
Rh1 0.500 0.500 0.528
O1 0.000 0.000 0.085
O2 0.244 0.244 0.568
O3 0.500 0.500 0.066

Main lines, sorted by position (10 to 80 degrees two-theta):
2θ 30.62, 2.920 Å, I = 100, (1 1 1); 2θ 32.58, 2.748 Å, I = 42, (2 0 0); 2θ 46.75, 1.943 Å, I = 23, (2 2 0); 2θ 53.16, 1.723 Å, I = 22, (2 0 2); 2θ 56.92, 1.618 Å, I = 36, (3 1 1); 2θ 63.75, 1.460 Å, I = 16, (2 2 2)

=====

Record 2
For Pa3Cu2Pt4, a crystal structure in Alexandria, relaxed with GGA-PBE gives the computed powder XRD pattern in this record (copper Kα).
Kinematic intensities with the Lorentz-polarization factor, no thermal factor.

Crystal structure
Cell: 11.836 4.004 8.426 Å, 90.00 117.04 90.00°
Space group C2/m (No. 12)
Asymmetric unit:
Pa1 0.000 0.000 0.000
Pa2 0.140 0.500 0.692
Cu1 0.197 0.500 0.379
Pt1 0.053 0.000 0.375
Pt2 0.191 0.500 0.063

Main lines, sorted by position (10 to 80 degrees two-theta):
2θ 31.86, 2.809 Å, I = 62, (2 0 -3); 2θ 33.94, 2.641 Å, I = 100, (3 1 0); 2θ 35.90, 2.502 Å, I = 33, (0 0 3); 2θ 36.54, 2.459 Å, I = 36, (1 1 2); 2θ 40.31, 2.238 Å, I = 62, (3 1 -3); 2θ 45.29, 2.002 Å, I = 34, (0 2 0)

=====

Record 3
For VH7Pd12, a crystal structure in Alexandria, relaxed with GGA-PBE gives the computed powder XRD pattern in this record (copper Kα).
Kinematic intensities with the Lorentz-polarization factor, no thermal factor.

Crystal structure
Cell: 10.3063 10.3063 7.0129 Å, 90.00 90.00 120.00°
Space group R-3 (No. 148, hexagonal axes)
Asymmetric unit:
V1 0.0000 0.0000 0.0000
H1 0.0000 0.0000 0.5000
H2 0.0409 0.8543 0.8201
Pd1 0.0300 0.4372 0.6690
Pd2 0.0520 0.8731 0.3309

Main lines, sorted by position (10 to 80 degrees two-theta):
2θ 29.38, 3.040 Å, I = 1, (2 1 1); 2θ 38.55, 2.335 Å, I = 100, (1 3 1); 2θ 44.82, 2.022 Å, I = 50, (4 -1 2); 2θ 65.25, 1.430 Å, I = 31, (1 3 4); 2θ 78.40, 1.220 Å, I = 27, (4 -1 5); 2θ 78.46, 1.219 Å, I = 9, (8 -2 1)

=====

Record 4
For PmMgPb3, a crystal structure in Alexandria, relaxed with GGA-PBE gives the computed powder XRD pattern in this record (copper Kα).
Kinematic intensities with the Lorentz-polarization factor, no thermal factor.

Crystal structure
Cell: 13.552 6.461 6.539 Å, 90.00 90.00 90.00°
Space group Pbcm (No. 57)
Asymmetric unit:
Pm1 0.192 0.000 0.250
Mg1 0.384 0.250 0.000
Pb1 0.001 0.250 0.000
Pb2 0.227 0.505 0.250
Pb3 0.424 0.686 0.750

Main lines, sorted by position (10 to 80 degrees two-theta):
2θ 30.35, 2.945 Å, I = 45, (2 0 2); 2θ 30.66, 2.916 Å, I = 100, (2 2 0); 2θ 33.05, 2.710 Å, I = 49, (5 0 0); 2θ 33.84, 2.649 Å, I = 47, (3 0 2); 2θ 34.12, 2.628 Å, I = 37, (3 2 0); 2θ 39.78, 2.266 Å, I = 44, (1 2 2)

=====

Record 5
For NaHoAg4, a crystal structure in Alexandria, relaxed with GGA-PBE gives the computed powder XRD pattern in this record (copper Kα).
Kinematic intensities with the Lorentz-polarization factor, no thermal factor.

Crystal structure
Cell: 7.993 7.993 7.993 Å, 90.00 90.00 90.00°
Space group F-43m (No. 216)
Asymmetric unit:
Na1 0.000 0.000 0.000
Ho1 0.250 0.250 0.250
Ag1 0.125 0.125 0.625

Main lines, sorted by position (10 to 80 degrees two-theta):
2θ 19.23, 4.615 Å, I = 24, (1 1 1); 2θ 31.66, 2.826 Å, I = 20, (2 2 0); 2θ 37.31, 2.410 Å, I = 100, (3 1 1); 2θ 39.04, 2.307 Å, I = 47, (2 2 2); 2θ 60.16, 1.538 Å, I = 32, (5 1 1); 2θ 66.13, 1.413 Å, I = 26, (4 4 0)

=====

Record 6
For La4Ho3PaP8, a crystal structure in Alexandria, relaxed with GGA-PBE gives the computed powder XRD pattern in this record (copper Kα).
Kinematic intensities with the Lorentz-polarization factor, no thermal factor.

Crystal structure
Cell: 8.2170 8.2170 20.2915 Å, 90.00 90.00 120.00°
Space group R-3m (No. 166, hexagonal axes)
Asymmetric unit:
La1 0.0000 0.0000 0.0000
La2 0.0000 0.5000 0.0000
Ho1 0.0000 0.5000 0.5000
Pa1 0.0000 0.0000 0.5000
P1 0.0000 0.0000 0.2450
P2 0.0050 0.5025 0.2434

Main lines, sorted by position (10 to 80 degrees two-theta):
2θ 26.35, 3.382 Å, I = 22, (0 0 6); 2θ 26.55, 3.358 Å, I = 64, (2 0 2); 2θ 30.69, 2.913 Å, I = 100, (0 2 4); 2θ 43.83, 2.065 Å, I = 37, (2 0 8); 2θ 44.08, 2.054 Å, I = 37, (2 2 0); 2θ 52.09, 1.756 Å, I = 22, (2 2 6)

=====

Record 7
For Pr3GaRu, a crystal structure in Alexandria, relaxed with GGA-PBE gives the computed powder XRD pattern in this record (copper Kα).
Kinematic intensities with the Lorentz-polarization factor, no thermal factor.

Crystal structure
Cell: 6.691 9.832 16.174 Å, 90.00 90.00 90.00°
Space group Fmmm (No. 69)
Asymmetric unit:
Pr1 0.000 0.000 0.196
Pr2 0.000 0.190 0.396
Ga1 0.189 0.000 0.000
Ru1 0.250 0.250 0.250

Main lines, sorted by position (10 to 80 degrees two-theta):
2θ 30.88, 2.896 Å, I = 99, (1 3 1); 2θ 32.05, 2.792 Å, I = 86, (1 1 5); 2θ 34.27, 2.617 Å, I = 100, (2 2 2); 2θ 34.78, 2.580 Å, I = 96, (2 0 4); 2θ 38.07, 2.364 Å, I = 54, (0 2 6); 2θ 56.45, 1.630 Å, I = 51, (1 5 5)

=====

Record 8
For Cs2TbErSe4, a crystal structure in Alexandria, relaxed with GGA-PBE gives the computed powder XRD pattern in this record (copper Kα).
Kinematic intensities with the Lorentz-polarization factor, no thermal factor.

Crystal structure
Cell: 7.379 4.261 8.725 Å, 90.00 106.36 90.00°
Space group P2/m (No. 10)
Asymmetric unit:
Cs1 0.000 0.000 0.000
Cs2 0.500 0.500 0.000
Tb1 0.000 0.500 0.500
Er1 0.500 0.000 0.500
Se1 0.231 0.000 0.686
Se2 0.275 0.500 0.316

Main lines, sorted by position (10 to 80 degrees two-theta):
2θ 10.57, 8.372 Å, I = 15, (0 0 1); 2θ 28.05, 3.181 Å, I = 100, (1 1 1); 2θ 37.62, 2.391 Å, I = 33, (2 0 2); 2θ 42.43, 2.130 Å, I = 36, (0 2 0); 2θ 51.64, 1.770 Å, I = 18, (2 2 -2); 2θ 68.98, 1.361 Å, I = 15, (4 2 0)

=====

Record 9
For HoAuS, a crystal structure in Alexandria, relaxed with GGA-PBE gives the computed powder XRD pattern in this record (copper Kα).
Kinematic intensities with the Lorentz-polarization factor, no thermal factor.

Crystal structure
Cell: 3.805 3.795 8.504 Å, 90.00 90.21 90.00°
Space group P2_1/m (No. 11)
Asymmetric unit:
Ho1 0.248 0.250 0.293
Au1 0.250 0.250 0.953
S1 0.252 0.250 0.635

Main lines, sorted by position (10 to 80 degrees two-theta):
2θ 10.40, 8.504 Å, I = 65, (0 0 1); 2θ 31.54, 2.836 Å, I = 37, (0 0 3); 2θ 31.60, 2.831 Å, I = 29, (0 1 2); 2θ 33.35, 2.687 Å, I = 100, (1 1 0); 2θ 39.70, 2.270 Å, I = 49, (1 0 3); 2θ 58.53, 1.577 Å, I = 24, (0 2 3)

=====

Record 10
For Pm2Er7Tl2, a crystal structure in Alexandria, relaxed with GGA-PBE gives the computed powder XRD pattern in this record (copper Kα).
Kinematic intensities with the Lorentz-polarization factor, no thermal factor.

Crystal structure
Cell: 3.653 19.670 9.621 Å, 90.00 90.00 90.00°
Space group Imm2 (No. 44)
Asymmetric unit:
Pm1 0.000 0.000 0.000
Pm2 0.000 0.500 0.166
Er1 0.000 0.000 0.346
Er2 0.000 0.135 0.822
Er3 0.000 0.339 0.009
Er4 0.000 0.367 0.642
Tl1 0.000 0.242 0.296

Main lines, sorted by position (10 to 80 degrees two-theta):
2θ 31.05, 2.880 Å, I = 99, (0 3 3); 2θ 31.90, 2.805 Å, I = 100, (1 4 1); 2θ 33.70, 2.659 Å, I = 31, (1 3 2); 2θ 36.55, 2.459 Å, I = 23, (0 8 0); 2θ 37.33, 2.409 Å, I = 20, (1 0 3); 2θ 62.87, 1.478 Å, I = 20, (1 12 1)

=====

Record 11
For NaTl10In3, a crystal structure in Alexandria, relaxed with GGA-PBE gives the computed powder XRD pattern in this record (copper Kα).
Kinematic intensities with the Lorentz-polarization factor, no thermal factor.

Crystal structure
Cell: 15.292 15.292 15.292 Å, 90.00 90.00 90.00°
Space group Fm-3m (No. 225)
Asymmetric unit:
Na1 0.250 0.250 0.250
Tl1 0.000 0.166 0.166
Tl2 0.140 0.140 0.360
In1 0.000 0.000 0.323

Main lines, sorted by position (10 to 80 degrees two-theta):
2θ 16.40, 5.407 Å, I = 11, (2 2 0); 2θ 30.37, 2.943 Å, I = 100, (3 3 3); 2θ 34.70, 2.585 Å, I = 20, (5 3 1); 2θ 35.21, 2.549 Å, I = 43, (6 0 0); 2θ 50.65, 1.802 Å, I = 26, (6 6 0); 2θ 60.21, 1.537 Å, I = 24, (9 3 3)

=====

Record 12
For Tb6Ho12Tl, a crystal structure in Alexandria, relaxed with GGA-PBE gives the computed powder XRD pattern in this record (copper Kα).
Kinematic intensities with the Lorentz-polarization factor, no thermal factor.

Crystal structure
Cell: 11.7849 11.7849 14.9035 Å, 90.00 90.00 120.00°
Space group R-3 (No. 148, hexagonal axes)
Asymmetric unit:
Tb1 0.0161 0.5900 0.1845
Ho1 0.0002 0.1748 0.6869
Ho2 0.0444 0.1945 0.9158
Tl1 0.0000 0.0000 0.5000

Main lines, sorted by position (10 to 80 degrees two-theta):
2θ 31.26, 2.861 Å, I = 44, (0 1 5); 2θ 31.88, 2.807 Å, I = 29, (0 3 3); 2θ 32.19, 2.781 Å, I = 100, (4 -3 1); 2θ 33.44, 2.680 Å, I = 71, (2 1 4); 2θ 33.88, 2.646 Å, I = 30, (3 1 2); 2θ 35.42, 2.534 Å, I = 21, (4 -2 3)

=====

Record 13
For TbPrDySc, a crystal structure in Alexandria, relaxed with GGA-PBE gives the computed powder XRD pattern in this record (copper Kα).
Kinematic intensities with the Lorentz-polarization factor, no thermal factor.

Crystal structure
Cell: 12.196 5.684 3.783 Å, 90.00 108.05 90.00°
Space group Cm (No. 8)
Asymmetric unit:
Tb1 0.000 0.000 0.000
Pr1 0.270 0.000 0.780
Dy1 0.039 0.500 0.539
Sc1 0.269 0.500 0.273

Main lines, sorted by position (10 to 80 degrees two-theta):
2θ 30.84, 2.899 Å, I = 25, (4 0 0); 2θ 31.48, 2.842 Å, I = 28, (0 2 0); 2θ 32.35, 2.768 Å, I = 100, (1 1 1); 2θ 44.65, 2.030 Å, I = 18, (4 2 0); 2θ 55.81, 1.647 Å, I = 15, (5 1 1); 2θ 56.59, 1.626 Å, I = 24, (1 3 1)